Entry 1:
For TePRh, a DFT-relaxed cell (PBE, Alexandria) gives the computed X-ray powder pattern in this record (Cu Kα (λ = 1.5418 Å)).
Kinematic intensities with the Lorentz-polarization factor, no thermal factor.

Structural model:
Lattice parameters (Å, degrees): 6.3314 6.0946 6.2634 90.00 103.94 90.00
Space group P2_1/c (No. 14)
Asymmetric unit:
Te 0.1574 0.1225 0.3424 x4
P 0.3698 0.6267 0.6361 x4
Rh 0.2771 0.5233 0.2593 x4

Top 10 peaks for 2θ = 15–90°, in order of rising 2θ:
two_theta  d [Å]  I_rel  index
23.12  3.847  45.2  1 1 -1
29.06  3.072  64.5  2 0 0
29.36  3.042  100.0  0 0 2
32.64  2.744  47.0  2 1 0
32.84  2.727  91.5  0 2 1
34.54  2.596  70.6  1 2 -1
45.69  1.986  49.7  3 1 -1
46.13  1.968  53.9  1 1 -3
46.83  1.940  46.6  2 0 2
50.73  1.800  46.3  1 3 1


Entry 2:
For Th2TePRh6, a DFT-relaxed cell (PBE, Alexandria) gives the computed X-ray powder pattern in this record (Cu Kα (λ = 1.5418 Å)).
Kinematic intensities with the Lorentz-polarization factor, no thermal factor.

Structural model:
Lattice parameters (Å, degrees): 5.6026 8.5836 8.1631 90.00 90.00 90.00
Space group Pmmn (No. 59, origin choice 2)
Asymmetric unit:
Th 0.2500 0.0126 0.2433 x4
Te 0.2500 0.2500 0.7828 x2
P 0.2500 0.7500 0.7321 x2
Rh 0.0013 0.2500 0.4982 x4
Rh 0.0045 0.7500 0.9562 x4
Rh 0.2500 0.5022 0.6060 x4

Top 10 peaks for 2θ = 15–90°, in order of rising 2θ:
two_theta  d [Å]  I_rel  index
28.39  3.144  100.0  1 2 1
30.22  2.958  81.2  0 2 2
34.28  2.616  23.9  1 2 2
36.72  2.448  31.1  1 0 3
38.37  2.346  89.9  2 2 0
39.00  2.310  87.3  2 0 2
42.11  2.146  59.8  0 4 0
42.52  2.126  90.5  1 2 3
58.73  1.572  50.3  2 4 2
64.27  1.449  28.0  3 2 3


Entry 3:
For Th4PRh12, a DFT-relaxed cell (PBE, Alexandria) gives the computed X-ray powder pattern in this record (Cu Kα (λ = 1.5418 Å)).
Kinematic intensities with the Lorentz-polarization factor, no thermal factor.

Structural model:
Lattice parameters (Å, degrees): 8.4055 8.4055 8.4055 90.00 90.00 90.00
Space group Im-3m (No. 229)
Asymmetric unit:
Th 0.2500 0.2500 0.2500 x8
P 0.0000 0.0000 0.0000 x2
Rh 0.0000 0.0000 0.2712 x12
Rh 0.0000 0.2500 0.5000 x12

Top 10 peaks for 2θ = 15–90°, in order of rising 2θ:
two_theta  d [Å]  I_rel  index
21.14  4.203  11.9  2 0 0
30.07  2.972  15.2  2 2 0
37.05  2.426  100.0  2 2 2
43.04  2.101  51.8  4 0 0
48.43  1.880  7.1  4 2 0
53.40  1.716  5.9  4 2 2
62.51  1.486  33.3  4 4 0
74.94  1.267  36.2  6 2 2
78.90  1.213  11.1  4 4 4
86.68  1.123  4.1  6 4 2


Entry 4:
For ThP2Rh5, a DFT-relaxed cell (PBE, Alexandria) gives the computed X-ray powder pattern in this record (Cu Kα (λ = 1.5418 Å)).
Kinematic intensities with the Lorentz-polarization factor, no thermal factor.

Structural model:
Lattice parameters (Å, degrees): 3.9502 6.7745 9.4722 90.00 90.00 90.00
Space group Immm (No. 71)
Asymmetric unit:
Th 0.0000 0.0000 0.0000 x2
P 0.0000 0.5000 0.2413 x4
Rh 0.0000 0.2030 0.3518 x8
Rh 0.0000 0.5000 0.0000 x2

Top 10 peaks for 2θ = 15–90°, in order of rising 2θ:
two_theta  d [Å]  I_rel  index
31.25  2.862  14.8  0 1 3
32.50  2.755  30.9  0 2 2
36.20  2.482  100.0  1 2 1
36.43  2.466  85.9  1 0 3
45.95  1.975  28.5  2 0 0
46.81  1.941  38.0  0 2 4
57.40  1.605  12.5  2 2 2
67.03  1.396  12.5  1 4 3
67.68  1.384  25.0  2 2 4
80.15  1.197  14.2  1 2 7


Entry 5:
For Th3P2Rh7, a DFT-relaxed cell (PBE, Alexandria) gives the computed X-ray powder pattern in this record (Cu Kα (λ = 1.5418 Å)).
Kinematic intensities with the Lorentz-polarization factor, no thermal factor.

Structural model:
Lattice parameters (Å, degrees): 4.0847 4.0969 13.1075 90.00 90.00 90.00
Space group Pmm2 (No. 25)
Asymmetric unit:
Th 0.0000 0.0000 0.0000 x1
Th 0.0000 0.0000 0.3476 x1
Th 0.0000 0.5000 0.7772 x1
P 0.5000 0.0000 0.5303 x1
P 0.5000 0.5000 0.2510 x1
Rh 0.0000 0.0000 0.6146 x1
Rh 0.0000 0.5000 0.1610 x1
Rh 0.5000 0.0000 0.1607 x1
Rh 0.5000 0.0000 0.8047 x1
Rh 0.5000 0.5000 0.4273 x1
Rh 0.5000 0.5000 0.6297 x1
Rh 0.5000 0.5000 0.9880 x1

Top 10 peaks for 2θ = 15–90°, in order of rising 2θ:
two_theta  d [Å]  I_rel  index
29.92  2.986  18.5  1 0 3
31.68  2.825  12.4  1 1 1
33.87  2.646  44.8  1 1 2
34.20  2.621  21.3  0 0 5
37.28  2.412  100.0  1 1 3
44.21  2.048  25.8  0 2 0
44.35  2.042  25.6  2 0 0
64.42  1.446  16.8  2 2 0
65.47  1.426  13.5  1 1 8
74.97  1.267  13.4  2 2 5


Entry 6:
For Th2ZrP3Rh12, a DFT-relaxed cell (PBE, Alexandria) gives the computed X-ray powder pattern in this record (Cu Kα (λ = 1.5418 Å)).
Kinematic intensities with the Lorentz-polarization factor, no thermal factor.

Structural model:
Lattice parameters (Å, degrees): 8.5788 8.5788 14.8066 90.00 90.00 120.00
Space group R-3m (No. 166, hexagonal axes)
Asymmetric unit:
Th 0.0000 0.0000 0.1094 x6
Zr 0.0000 0.0000 0.5000 x3
P 0.0000 0.5000 0.0000 x9
Rh 0.0216 0.5108 0.8500 x18
Rh 0.0530 0.5265 0.3543 x18

Top 10 peaks for 2θ = 15–90°, in order of rising 2θ:
two_theta  d [Å]  I_rel  index
24.71  3.603  13.3  0 2 1
27.55  3.238  13.0  1 1 3
32.52  2.753  32.4  0 1 5
34.18  2.623  100.0  0 2 4
42.13  2.145  69.1  2 2 0
42.25  2.139  10.5  1 1 6
52.34  1.748  11.4  3 0 6
55.33  1.660  14.0  4 0 4
56.87  1.619  11.7  2 2 6
62.91  1.477  11.3  2 3 5


Entry 7:
For U6P13Rh20, a DFT-relaxed cell (PBE, Alexandria) gives the computed X-ray powder pattern in this record (Cu Kα (λ = 1.5418 Å)).
Kinematic intensities with the Lorentz-polarization factor, no thermal factor.

Structural model:
Lattice parameters (Å, degrees): 13.3811 13.3811 3.8803 90.00 90.00 120.00
Space group P-3 (No. 147)
Asymmetric unit:
U 0.1903 0.4721 0.2493 x6
P 0.0000 0.0000 0.0000 x1
P 0.0571 0.2864 0.7464 x6
P 0.1380 0.6112 0.7490 x6
Rh 0.0206 0.5823 0.2490 x6
Rh 0.0773 0.7479 0.7478 x6
Rh 0.0904 0.9044 0.2517 x6
Rh 0.3333 0.6667 0.7480 x2

Top 10 peaks for 2θ = 15–90°, in order of rising 2θ:
two_theta  d [Å]  I_rel  index
27.74  3.215  20.4  1 3 0
33.71  2.659  8.3  2 3 0
35.46  2.531  19.2  4 -2 1
36.29  2.475  100.0  1 3 1
41.20  2.191  11.9  2 4 0
46.82  1.940  16.5  0 0 2
49.10  1.856  22.5  5 2 0
62.57  1.485  10.6  8 -2 1
70.18  1.341  14.7  5 2 2
79.95  1.200  10.4  4 -1 3


Entry 8:
For U4P6Rh5, a DFT-relaxed cell (PBE, Alexandria) gives the computed X-ray powder pattern in this record (Cu Kα (λ = 1.5418 Å)).
Kinematic intensities with the Lorentz-polarization factor, no thermal factor.

Structural model:
Lattice parameters (Å, degrees): 3.9040 18.4629 14.4045 90.00 90.00 90.00
Space group Cmc2_1 (No. 36)
Asymmetric unit:
U 0.0000 0.0080 0.0000 x4
U 0.0000 0.0269 0.2779 x4
U 0.0000 0.1688 0.8081 x4
U 0.0000 0.1840 0.4460 x4
P 0.0000 0.1202 0.6215 x4
P 0.0000 0.2182 0.9950 x4
P 0.0000 0.2304 0.2613 x4
P 0.0000 0.4164 0.9126 x4
P 0.0000 0.4245 0.6337 x4
P 0.0000 0.4296 0.3575 x4
Rh 0.0000 0.1471 0.1324 x4
Rh 0.0000 0.3013 0.1237 x4
Rh 0.0000 0.3479 0.7736 x4
Rh 0.0000 0.3585 0.4914 x4
Rh 0.0000 0.4509 0.1761 x4

Top 10 peaks for 2θ = 15–90°, in order of rising 2θ:
two_theta  d [Å]  I_rel  index
23.29  3.820  37.9  1 1 0
29.02  3.077  51.7  0 6 0
29.89  2.989  100.0  1 1 3
33.40  2.683  46.5  1 5 0
33.99  2.637  42.2  1 5 1
34.22  2.620  36.6  1 1 4
35.72  2.514  36.2  1 5 2
36.97  2.432  47.5  1 3 4
38.45  2.342  97.6  1 5 3
46.52  1.952  51.6  2 0 0